Simulated X-ray diffraction stick pattern
Compound: Tb4Nd3Dy8
Radiation: Cu Kα X-rays
Structure: a crystal structure in Alexandria, relaxed with GGA-PBE
Peak positions follow from Bragg's law for the DFT cell and can differ from measured ones.

Crystal structure
Cell: 9.281 9.281 6.769 Å, 111.39 111.39 87.32°
Element x y z (fractional)
Tb: 0.000 0.000 0.000
Tb: 0.000 0.000 0.500
Tb: 0.000 0.500 0.000
Tb: 0.500 0.000 0.000
Nd: 0.000 0.500 0.500
Nd: 0.500 0.000 0.500
Nd: 0.500 0.500 0.000
Dy: 0.254 0.746 0.000
Dy: 0.262 0.262 0.015
Dy: 0.269 0.269 0.499
Dy: 0.359 0.641 0.500
Dy: 0.641 0.359 0.500
Dy: 0.731 0.731 0.501
Dy: 0.738 0.738 0.985
Dy: 0.746 0.254 0.000

The 10 most intense peaks (2θ from 15° to 90°), by intensity:
two_theta	I (rel.)
30.58	100
30.84	48
41.83	46
27.85	35
31.87	28
42.03	22
66.56	20
54.68	18
62.46	13
63.66	12